Record 1
Theoretical powder diffraction line list
Compound: NaAcEu2
Radiation: Cu Kα (λ = 1.5418 Å)
Structure: a cell relaxed with GGA-PBE
Peak positions follow from Bragg's law for the DFT cell and can differ from measured ones.

Top 8 peaks for 10 to 90 degrees two-theta, by angle:
- 17.5°, d = 5.081 Å, intensity 27
- 28.7°, d = 3.112 Å, intensity 100
- 33.8°, d = 2.654 Å, intensity 17
- 41.0°, d = 2.200 Å, intensity 19
- 50.8°, d = 1.797 Å, intensity 42
- 59.4°, d = 1.556 Å, intensity 13
- 67.3°, d = 1.392 Å, intensity 18
- 81.9°, d = 1.176 Å, intensity 21

Cell and atoms:
a b c (Å): 6.223 6.223 6.223
angles (deg): 60.00 60.00 60.00
Atoms (fractional coordinates):
Na1 0.000 0.000 0.000
Ac1 0.500 0.500 0.500
Eu1 0.250 0.250 0.250
Eu2 0.750 0.750 0.750



Record 2
Theoretical powder diffraction line list
Compound: AcPmEuPb
Radiation: Cu Kα (λ = 1.5418 Å)
Structure: a cell relaxed with GGA-PBE
Peak positions follow from Bragg's law for the DFT cell and can differ from measured ones.

Top 8 peaks for 10 to 90 degrees two-theta, by angle:
- 21.7°, d = 4.089 Å, intensity 3
- 30.9°, d = 2.892 Å, intensity 100
- 44.3°, d = 2.045 Å, intensity 19
- 55.0°, d = 1.669 Å, intensity 40
- 64.4°, d = 1.446 Å, intensity 13
- 73.2°, d = 1.293 Å, intensity 17
- 81.5°, d = 1.180 Å, intensity 4
- 89.7°, d = 1.093 Å, intensity 22

Cell and atoms:
a b c (Å): 5.783 5.783 5.783
angles (deg): 60.00 60.00 60.00
Atoms (fractional coordinates):
Ac1 0.000 0.000 0.000
Pm1 0.250 0.250 0.250
Eu1 0.750 0.750 0.750
Pb1 0.500 0.500 0.500



Record 3
Theoretical powder diffraction line list
Compound: AcEuSi2
Radiation: Cu Kα (λ = 1.5418 Å)
Structure: a cell relaxed with GGA-PBE
Peak positions follow from Bragg's law for the DFT cell and can differ from measured ones.

Top 8 peaks for 10 to 90 degrees two-theta, by angle:
- 21.2°, d = 4.188 Å, intensity 39
- 25.0°, d = 3.558 Å, intensity 53
- 33.0°, d = 2.711 Å, intensity 100
- 35.7°, d = 2.516 Å, intensity 41
- 41.9°, d = 2.156 Å, intensity 28
- 50.6°, d = 1.805 Å, intensity 17
- 57.2°, d = 1.609 Å, intensity 21
- 62.4°, d = 1.487 Å, intensity 32

Cell and atoms:
a b c (Å): 5.031 5.031 4.188
angles (deg): 90.00 90.00 90.00
Atoms (fractional coordinates):
Ac1 0.000 0.000 0.000
Eu1 0.500 0.500 0.000
Si1 0.000 0.500 0.500
Si2 0.500 0.000 0.500



What did the third record say?
Theoretical powder diffraction line list
Compound: AcEuSi2
Radiation: Cu Kα (λ = 1.5418 Å)
Structure: a cell relaxed with GGA-PBE
Peak positions follow from Bragg's law for the DFT cell and can differ from measured ones.

Top 8 peaks for 10 to 90 degrees two-theta, by angle:
- 21.2°, d = 4.188 Å, intensity 39
- 25.0°, d = 3.558 Å, intensity 53
- 33.0°, d = 2.711 Å, intensity 100
- 35.7°, d = 2.516 Å, intensity 41
- 41.9°, d = 2.156 Å, intensity 28
- 50.6°, d = 1.805 Å, intensity 17
- 57.2°, d = 1.609 Å, intensity 21
- 62.4°, d = 1.487 Å, intensity 32

Cell and atoms:
a b c (Å): 5.031 5.031 4.188
angles (deg): 90.00 90.00 90.00
Atoms (fractional coordinates):
Ac1 0.000 0.000 0.000
Eu1 0.500 0.500 0.000
Si1 0.000 0.500 0.500
Si2 0.500 0.000 0.500